Calculated PXRD pattern
Compound: Ni4Sn3
Radiation: Cu Kα (weighted mean of Kα1 and Kα2)
Structure: a PBE-relaxed structure

The 10 most intense peaks (2θ from 10° to 80°), sorted by position:
30.5 deg, d 2.929, rel. 96.7
34.4 deg, d 2.607, rel. 10.5
43.1 deg, d 2.099, rel. 100.0
44.2 deg, d 2.048, rel. 32.0
44.4 deg, d 2.042, rel. 65.3
57.2 deg, d 1.609, rel. 7.9
59.2 deg, d 1.560, rel. 16.0
63.5 deg, d 1.465, rel. 19.1
63.6 deg, d 1.462, rel. 8.9
72.5 deg, d 1.303, rel. 9.1

Atomic structure:
```
Ni4Sn3
1.0
7.066 0.000 0.000
0.000 5.214 0.000
-0.043 0.000 24.578
Ni Sn
32 24
Direct
0.000 0.243 0.000
0.000 0.757 0.000
0.323 0.000 0.332
0.324 0.000 0.668
0.326 0.000 0.000
0.474 0.255 0.250
0.474 0.745 0.250
0.475 0.255 0.917
0.475 0.745 0.917
0.478 0.253 0.583
0.478 0.747 0.583
0.494 0.248 0.750
0.494 0.752 0.750
0.495 0.247 0.083
0.495 0.247 0.416
0.495 0.753 0.083
0.495 0.753 0.416
0.640 0.500 0.168
0.640 0.500 0.834
0.822 0.000 0.083
0.822 0.000 0.417
0.822 0.000 0.749
0.968 0.253 0.832
0.968 0.747 0.832
0.969 0.252 0.166
0.969 0.748 0.166
0.978 0.252 0.499
0.978 0.748 0.499
0.996 0.244 0.335
0.996 0.246 0.665
0.996 0.754 0.665
0.996 0.756 0.335
0.134 0.000 0.245
0.137 0.000 0.911
0.141 0.000 0.578
0.173 0.000 0.761
0.174 0.000 0.094
0.177 0.000 0.427
0.287 0.500 0.832
0.288 0.500 0.166
0.319 0.500 0.499
0.320 0.500 0.667
0.321 0.500 0.335
0.324 0.500 0.002
0.634 0.000 0.172
0.634 0.000 0.838
0.637 0.000 0.505
0.676 0.000 0.323
0.676 0.000 0.655
0.678 0.000 0.988
0.818 0.500 0.416
0.820 0.500 0.583
0.827 0.500 0.077
0.827 0.500 0.742
0.832 0.500 0.256
0.833 0.500 0.922
```